1.
Starting from a structure optimized by DFT (PBE), the powder XRD pattern of Sm2ZrS5 was computed for λ = 1.5418 Å (Cu Kα).

Structural model:
```
Sm2ZrS5
1.0
11.6722 0.0000 0.0000
0.0000 7.9114 0.0000
0.0000 0.0000 7.3571
Sm Zr S
8 4 20
Direct
0.1777 0.0020 0.0275
0.1777 0.4980 0.0275
0.3223 0.5020 0.5275
0.3223 0.9980 0.5275
0.6777 0.0020 0.4725
0.6777 0.4980 0.4725
0.8223 0.5020 0.9725
0.8223 0.9980 0.9725
0.0076 0.7500 0.5773
0.4924 0.2500 0.0773
0.5076 0.7500 0.9227
0.9924 0.2500 0.4227
0.0038 0.7500 0.9465
0.0904 0.0367 0.6623
0.0904 0.4633 0.6623
0.1829 0.7500 0.3361
0.2071 0.2500 0.3143
0.2929 0.7500 0.8143
0.3171 0.2500 0.8361
0.4096 0.5367 0.1623
0.4096 0.9633 0.1623
0.4962 0.2500 0.4465
0.5038 0.7500 0.5535
0.5904 0.0367 0.8377
0.5904 0.4633 0.8377
0.6829 0.7500 0.1639
0.7071 0.2500 0.1857
0.7929 0.7500 0.6857
0.8171 0.2500 0.6639
0.9096 0.5367 0.3377
0.9096 0.9633 0.3377
0.9962 0.2500 0.0535
```

Top 6 peaks for 10 to 90 degrees two-theta, sorted by position:
- d = 3.679 Å, 24.19 deg, intensity 530
- d = 3.439 Å, 25.91 deg, intensity 1000
- d = 3.338 Å, 26.70 deg, intensity 527
- d = 3.274 Å, 27.23 deg, intensity 513
- d = 2.595 Å, 34.56 deg, intensity 678
- d = 2.446 Å, 36.75 deg, intensity 726

2.
Starting from a structure optimized by DFT (PBE), the powder XRD pattern of Sn3S4 was computed for λ = 1.5418 Å (Cu Kα).

Structural model:
```
Sn3S4
1.0
15.0649 0.0000 0.0000
0.0000 3.8386 0.0000
-2.7124 0.0000 6.2875
Sn S
6 8
Direct
0.0000 0.0000 0.0000
0.2369 0.5000 0.7435
0.2631 0.0000 0.2565
0.5000 0.5000 0.0000
0.7369 0.0000 0.7435
0.7631 0.5000 0.2565
0.0986 0.5000 0.2544
0.1381 0.0000 0.8383
0.3619 0.5000 0.1617
0.4014 0.0000 0.7456
0.5986 0.0000 0.2544
0.6381 0.5000 0.8383
0.8619 0.0000 0.1617
0.9014 0.5000 0.7456
```

Top 6 peaks for 10 to 90 degrees two-theta, sorted by position:
- d = 6.287 Å, 14.09 deg, intensity 530
- d = 3.347 Å, 26.63 deg, intensity 1000
- d = 2.977 Å, 30.02 deg, intensity 472
- d = 2.443 Å, 36.79 deg, intensity 814
- d = 2.368 Å, 37.99 deg, intensity 632
- d = 1.959 Å, 46.35 deg, intensity 557

3.
Starting from a structure optimized by DFT (PBE), the powder XRD pattern of SnS2 was computed for λ = 1.5418 Å (Cu Kα).

Structural model:
```
SnS2
1.0
3.6936 0.0000 0.0000
-1.8468 3.1988 0.0000
0.0000 0.0000 13.3520
Sn S
2 4
Direct
0.3333 0.6667 0.0000
0.6667 0.3333 0.5000
0.0000 0.0000 0.3890
0.0000 0.0000 0.8890
0.3333 0.6667 0.6110
0.6667 0.3333 0.1110
```

Top 6 peaks for 10 to 90 degrees two-theta, sorted by position:
- d = 6.676 Å, 13.26 deg, intensity 1000
- d = 3.111 Å, 28.70 deg, intensity 391
- d = 2.885 Å, 31.00 deg, intensity 262
- d = 2.597 Å, 34.53 deg, intensity 505
- d = 2.050 Å, 44.18 deg, intensity 298
- d = 1.847 Å, 49.35 deg, intensity 211

4.
Starting from a structure optimized by DFT (PBE), the powder XRD pattern of SnS8 was computed for λ = 1.5418 Å (Cu Kα).

Structural model:
```
SnS8
1.0
5.5710 0.0000 0.0000
-1.1975 5.7308 0.0000
-2.0034 -1.8653 7.7683
Sn S
1 8
Direct
0.0000 0.0000 0.0000
0.1418 0.1356 0.4753
0.2402 0.7248 0.8350
0.2558 0.9517 0.2943
0.4738 0.3055 0.9679
0.5262 0.6945 0.0321
0.7442 0.0483 0.7057
0.7598 0.2752 0.1650
0.8582 0.8644 0.5247
```

Top 6 peaks for 10 to 90 degrees two-theta, sorted by position:
- d = 7.768 Å, 11.39 deg, intensity 954
- d = 5.572 Å, 15.90 deg, intensity 1000
- d = 3.577 Å, 24.89 deg, intensity 655
- d = 2.836 Å, 31.55 deg, intensity 472
- d = 2.346 Å, 38.37 deg, intensity 344
- d = 2.178 Å, 41.45 deg, intensity 409